Entry 1:
This entry pairs a crystal structure of PrSm3Tm7 with its computed powder diffractogram. Radiation: copper Kα. Structure: the GGA-PBE geometry in Alexandria.

Main lines, most intense first (2θ from 10° to 90°):
2θ 31.2, 2.865 Å, intensity 100.0
2θ 36.2, 2.484 Å, intensity 68.4
2θ 62.0, 1.497 Å, intensity 42.2
2θ 31.1, 2.877 Å, intensity 33.2
2θ 52.0, 1.759 Å, intensity 23.7
2θ 52.2, 1.754 Å, intensity 23.6

Cell and atoms:
a b c (Å): 7.0150 7.0150 8.6309
angles (deg): 90.00 90.00 120.00
Fractional coordinates of all 11 atoms:
1 Pr 0.0000 0.0000 0.0000
2 Sm 0.1673 0.3345 0.3385
3 Sm 0.1673 0.8327 0.3385
4 Sm 0.6655 0.8327 0.3385
5 Tm 0.0018 0.5009 0.9977
6 Tm 0.3329 0.1665 0.6729
7 Tm 0.3333 0.6667 0.6745
8 Tm 0.4991 0.5009 0.9977
9 Tm 0.4991 0.9982 0.9977
10 Tm 0.8335 0.1665 0.6729
11 Tm 0.8335 0.6671 0.6729

---

Entry 2:
This entry pairs a crystal structure of La3In3Ag with its computed powder diffractogram. Radiation: copper Kα. Structure: the GGA-PBE geometry in Alexandria.

Main lines, most intense first (2θ from 10° to 90°):
2θ 36.0, 2.498 Å, intensity 100.0
2θ 28.9, 3.090 Å, intensity 89.8
2θ 28.6, 3.119 Å, intensity 70.6
2θ 36.9, 2.434 Å, intensity 68.8
2θ 33.4, 2.685 Å, intensity 47.6
2θ 30.8, 2.900 Å, intensity 46.4

Cell and atoms:
a b c (Å): 6.2925 6.2925 15.9958
angles (deg): 108.28 108.28 45.52
Fractional coordinates of all 14 atoms:
1 La 0.0439 0.0439 0.3853
2 La 0.1007 0.1007 0.9225
3 La 0.2368 0.2368 0.2302
4 La 0.7632 0.7632 0.7698
5 La 0.8993 0.8993 0.0775
6 La 0.9561 0.9561 0.6147
7 In 0.3668 0.3668 0.4554
8 In 0.3859 0.3859 0.9231
9 In 0.4738 0.4738 0.7672
10 In 0.5262 0.5262 0.2328
11 In 0.6141 0.6141 0.0769
12 In 0.6332 0.6332 0.5446
13 Ag 0.2551 0.2551 0.6083
14 Ag 0.7449 0.7449 0.3916

---

Entry 3:
This entry pairs a crystal structure of Pr12ZrIn3 with its computed powder diffractogram. Radiation: copper Kα. Structure: the GGA-PBE geometry in Alexandria.

Main lines, most intense first (2θ from 10° to 90°):
2θ 30.8, 2.907 Å, intensity 100.0
2θ 35.8, 2.506 Å, intensity 33.2
2θ 61.3, 1.513 Å, intensity 27.6
2θ 51.2, 1.784 Å, intensity 23.8
2θ 35.3, 2.541 Å, intensity 17.2
2θ 60.6, 1.528 Å, intensity 14.2

Cell and atoms:
a b c (Å): 5.0123 5.0123 20.3274
angles (deg): 90.00 90.00 90.00
Fractional coordinates of all 16 atoms:
1 Pr 0.0000 0.0000 0.0000
2 Pr 0.0000 0.0000 0.2486
3 Pr 0.0000 0.0000 0.5000
4 Pr 0.0000 0.0000 0.7514
5 Pr 0.0000 0.5000 0.1247
6 Pr 0.0000 0.5000 0.3757
7 Pr 0.0000 0.5000 0.6243
8 Pr 0.0000 0.5000 0.8753
9 Pr 0.5000 0.0000 0.1247
10 Pr 0.5000 0.0000 0.3757
11 Pr 0.5000 0.0000 0.6243
12 Pr 0.5000 0.0000 0.8753
13 Zr 0.5000 0.5000 0.5000
14 In 0.5000 0.5000 0.0000
15 In 0.5000 0.5000 0.2474
16 In 0.5000 0.5000 0.7526

---

Entry 4:
This entry pairs a crystal structure of SrZn6Pd2 with its computed powder diffractogram. Radiation: copper Kα. Structure: the GGA-PBE geometry in Alexandria.

Main lines, most intense first (2θ from 10° to 90°):
2θ 35.2, 2.549 Å, intensity 100.0
2θ 39.2, 2.299 Å, intensity 65.1
2θ 41.4, 2.182 Å, intensity 63.3
2θ 15.5, 5.712 Å, intensity 43.1
2θ 43.3, 2.089 Å, intensity 38.6
2θ 26.3, 3.387 Å, intensity 32.5

Cell and atoms:
a b c (Å): 7.1237 7.1237 7.1237
angles (deg): 144.32 125.61 66.76
Fractional coordinates of all 9 atoms:
1 Sr 0.0000 0.0000 0.0000
2 Zn 0.0744 0.2963 0.7781
3 Zn 0.3186 0.5000 0.8186
4 Zn 0.4818 0.7037 0.7781
5 Zn 0.5182 0.2963 0.2219
6 Zn 0.6814 0.5000 0.1814
7 Zn 0.9256 0.7037 0.2219
8 Pd 0.3733 0.8733 0.5000
9 Pd 0.6267 0.1267 0.5000

---

Entry 5:
This entry pairs a crystal structure of Sc4Te3N2 with its computed powder diffractogram. Radiation: copper Kα. Structure: the GGA-PBE geometry in Alexandria.

Main lines, most intense first (2θ from 10° to 90°):
2θ 31.7, 2.823 Å, intensity 100.0
2θ 31.9, 2.801 Å, intensity 89.6
2θ 25.1, 3.542 Å, intensity 78.6
2θ 28.3, 3.153 Å, intensity 57.2
2θ 27.2, 3.281 Å, intensity 37.2
2θ 43.7, 2.070 Å, intensity 24.1

Cell and atoms:
a b c (Å): 6.8583 11.2684 10.6507
angles (deg): 90.00 90.00 90.00
Fractional coordinates of all 36 atoms:
1 Sc 0.0785 0.2500 0.1253
2 Sc 0.1741 0.7500 0.1091
3 Sc 0.1918 0.0189 0.9316
4 Sc 0.1918 0.4811 0.9316
5 Sc 0.3082 0.5189 0.4316
6 Sc 0.3082 0.9811 0.4316
7 Sc 0.3259 0.2500 0.6091
8 Sc 0.4215 0.7500 0.6253
9 Sc 0.5785 0.2500 0.3747
10 Sc 0.6741 0.7500 0.3909
11 Sc 0.6918 0.0189 0.5684
12 Sc 0.6918 0.4811 0.5684
13 Sc 0.8082 0.5189 0.0684
14 Sc 0.8082 0.9811 0.0684
15 Sc 0.8259 0.2500 0.8909
16 Sc 0.9215 0.7500 0.8747
17 Te 0.0889 0.5699 0.6757
18 Te 0.0889 0.9301 0.6757
19 Te 0.1043 0.7500 0.3736
20 Te 0.3957 0.2500 0.8736
21 Te 0.4111 0.0699 0.1757
22 Te 0.4111 0.4301 0.1757
23 Te 0.5889 0.5699 0.8243
24 Te 0.5889 0.9301 0.8243
25 Te 0.6043 0.7500 0.1264
26 Te 0.8957 0.2500 0.6264
27 Te 0.9111 0.0699 0.3243
28 Te 0.9111 0.4301 0.3243
29 N 0.0416 0.6247 0.0025
30 N 0.0416 0.8753 0.0025
31 N 0.4584 0.1247 0.5025
32 N 0.4584 0.3753 0.5025
33 N 0.5416 0.6247 0.4975
34 N 0.5416 0.8753 0.4975
35 N 0.9584 0.1247 0.9975
36 N 0.9584 0.3753 0.9975